This entry pairs a crystal structure of U2Al2Zn15 with its computed X-ray diffraction stick pattern. Radiation: a wavelength of 1.5418 Å. Structure: a PBE-relaxed structure.
Lines closer than 0.1° are merged.

Main lines, in order of rising 2θ (15° ≤ 2θ ≤ 90°):
d = 3.140 Å, rel. 46
d = 2.609 Å, rel. 33
d = 2.511 Å, rel. 17
d = 2.260 Å, rel. 45
d = 2.240 Å, rel. 100
d = 2.182 Å, rel. 30
d = 1.591 Å, rel. 16
d = 1.570 Å, rel. 21
d = 1.424 Å, rel. 19
d = 1.305 Å, rel. 15
d = 1.271 Å, rel. 16
d = 1.120 Å, rel. 15

Atomic structure:
```
U2Al2Zn15
1.0
4.519 2.609 4.365
-4.519 2.609 4.365
0.000 -5.218 4.365
U Al Zn
2 2 15
Cartesian
0.000 0.000 2.146
0.000 0.000 10.949
0.000 0.000 5.217
0.000 0.000 7.878
-2.260 -1.305 4.365
0.000 -2.695 4.175
-2.334 1.347 4.175
-1.361 -2.357 6.547
-2.721 0.000 6.547
-2.334 -1.347 8.920
-2.260 1.305 8.730
1.361 -2.357 6.547
0.000 2.609 4.365
-1.361 2.357 6.547
2.334 1.347 4.175
2.721 0.000 6.547
1.361 2.357 6.547
2.334 -1.347 8.920
0.000 2.695 8.920
```

***

This entry pairs a crystal structure of U2AlZn16 with its computed X-ray diffraction stick pattern. Radiation: a wavelength of 1.5418 Å. Structure: a PBE-relaxed structure.
Lines closer than 0.1° are merged.

Main lines, in order of rising 2θ (15° ≤ 2θ ≤ 90°):
d = 3.139 Å, rel. 46
d = 2.599 Å, rel. 38
d = 2.512 Å, rel. 21
d = 2.251 Å, rel. 51
d = 2.235 Å, rel. 100
d = 2.191 Å, rel. 42
d = 2.179 Å, rel. 15
d = 1.586 Å, rel. 17
d = 1.570 Å, rel. 24
d = 1.420 Å, rel. 18
d = 1.300 Å, rel. 16
d = 1.273 Å, rel. 18

Atomic structure:
```
U2AlZn16
1.0
4.502 2.599 4.379
-4.502 2.599 4.379
0.000 -5.198 4.379
U Al Zn
2 1 16
Cartesian
0.000 0.000 0.000
0.000 0.000 4.302
0.000 0.000 7.395
0.000 -2.510 2.336
-2.174 1.255 2.336
-2.278 -1.315 6.526
0.000 -2.668 6.322
-2.310 1.334 6.322
-1.345 -2.330 8.712
-2.690 0.000 8.712
2.174 1.255 2.336
1.345 -2.330 8.712
-1.346 2.330 8.712
2.278 -1.315 6.526
0.000 2.630 6.526
0.000 0.000 10.039
2.310 1.334 6.322
2.690 0.000 8.712
1.346 2.330 8.712
```

***

This entry pairs a crystal structure of Al8V5 with its computed X-ray diffraction stick pattern. Radiation: a wavelength of 1.5418 Å. Structure: a PBE-relaxed structure.
Lines closer than 0.1° are merged.

Main lines, in order of rising 2θ (15° ≤ 2θ ≤ 90°):
d = 3.755 Å, rel. 16
d = 2.458 Å, rel. 2
d = 2.168 Å, rel. 100
d = 1.961 Å, rel. 2
d = 1.877 Å, rel. 5
d = 1.533 Å, rel. 12
d = 1.419 Å, rel. 1
d = 1.356 Å, rel. 2
d = 1.327 Å, rel. 3
d = 1.301 Å, rel. 1
d = 1.252 Å, rel. 23
d = 1.132 Å, rel. 8

Atomic structure:
```
Al8V5
1.0
-4.599 4.599 4.599
4.599 -4.599 4.599
4.599 4.599 -4.599
Al V
16 10
Cartesian
3.575 3.575 -3.575
4.367 1.670 -1.670
4.367 -1.670 1.670
3.575 -3.575 3.575
1.023 1.023 1.023
1.670 4.367 -1.670
1.670 -1.670 4.367
2.928 2.928 0.231
2.928 0.231 2.928
4.830 1.670 1.670
0.231 2.928 2.928
-1.670 4.367 1.670
-1.670 1.670 4.367
1.670 4.830 1.670
1.670 1.670 4.830
-3.575 3.575 3.575
1.595 1.595 -1.595
1.595 -1.595 1.595
3.188 0.000 0.000
6.009 0.000 0.000
-1.595 1.595 1.595
0.000 3.188 0.000
0.000 0.000 3.188
0.000 6.009 0.000
0.000 0.000 6.009
3.003 3.003 3.003
```

***

This entry pairs a crystal structure of AlV12 with its computed X-ray diffraction stick pattern. Radiation: a wavelength of 1.5418 Å. Structure: a PBE-relaxed structure.
Lines closer than 0.1° are merged.

Main lines, in order of rising 2θ (15° ≤ 2θ ≤ 90°):
d = 5.815 Å, rel. 81
d = 3.561 Å, rel. 38
d = 3.037 Å, rel. 99
d = 2.907 Å, rel. 31
d = 2.252 Å, rel. 20
d = 2.056 Å, rel. 31
d = 1.938 Å, rel. 100
d = 1.702 Å, rel. 33
d = 1.679 Å, rel. 62
d = 1.311 Å, rel. 19
d = 1.187 Å, rel. 32
d = 1.106 Å, rel. 11

Atomic structure:
```
AlV12
1.0
0.000 5.036 5.036
5.036 0.000 5.036
5.036 5.036 0.000
Al V
1 12
Cartesian
0.000 0.000 0.000
5.036 3.350 3.350
6.722 5.036 3.350
6.722 3.350 5.036
3.350 5.036 3.350
5.036 6.722 3.350
3.350 3.350 5.036
6.722 6.722 5.036
5.036 3.350 6.722
6.722 5.036 6.722
3.350 6.722 5.036
3.350 5.036 6.722
5.036 6.722 6.722
```

***

This entry pairs a crystal structure of Al41V4 with its computed X-ray diffraction stick pattern. Radiation: a wavelength of 1.5418 Å. Structure: a PBE-relaxed structure.
Lines closer than 0.1° are merged.

Main lines, in order of rising 2θ (15° ≤ 2θ ≤ 90°):
d = 2.557 Å, rel. 16
d = 2.445 Å, rel. 38
d = 2.411 Å, rel. 15
d = 2.287 Å, rel. 25
d = 2.206 Å, rel. 67
d = 2.180 Å, rel. 100
d = 2.088 Å, rel. 34
d = 2.025 Å, rel. 49
d = 1.705 Å, rel. 12
d = 1.392 Å, rel. 25
d = 1.278 Å, rel. 41
d = 1.227 Å, rel. 17

Atomic structure:
```
Al41V4
1.0
0.000 7.232 7.232
7.232 0.000 7.232
7.232 7.232 0.000
Al V
41 4
Cartesian
0.000 0.000 0.000
7.988 4.560 4.560
9.904 6.476 4.560
9.904 4.560 6.476
3.616 3.616 1.590
3.616 1.590 3.616
5.642 3.616 3.616
6.286 6.286 2.868
8.178 8.178 2.868
6.286 2.868 6.286
11.595 8.178 6.286
8.178 2.868 8.178
11.595 6.286 8.178
7.232 7.232 5.200
7.232 5.200 7.232
9.264 7.232 7.232
12.658 9.037 9.037
1.590 3.616 3.616
3.616 5.642 3.616
3.616 3.616 5.642
4.560 7.988 4.560
6.476 9.904 4.560
4.560 4.560 7.988
9.904 9.904 7.988
6.476 4.560 9.904
9.904 7.988 9.904
5.200 7.232 7.232
7.232 9.264 7.232
7.232 7.232 9.264
2.868 6.286 6.286
8.178 11.595 6.286
8.178 6.286 11.595
4.560 9.904 6.476
4.560 6.476 9.904
7.988 9.904 9.904
9.037 12.658 9.037
9.037 9.037 12.658
12.658 12.658 12.658
2.868 8.178 8.178
6.286 11.595 8.178
6.286 8.178 11.595
5.421 5.421 5.421
9.042 9.042 5.421
9.042 5.421 9.042
5.421 9.042 9.042
```

***

This entry pairs a crystal structure of Al23V4 with its computed X-ray diffraction stick pattern. Radiation: a wavelength of 1.5418 Å. Structure: a PBE-relaxed structure.
Lines closer than 0.1° are merged.

Main lines, in order of rising 2θ (15° ≤ 2θ ≤ 90°):
d = 2.484 Å, rel. 15
d = 2.297 Å, rel. 27
d = 2.290 Å, rel. 35
d = 2.214 Å, rel. 14
d = 2.196 Å, rel. 18
d = 2.163 Å, rel. 100
d = 2.063 Å, rel. 54
d = 2.023 Å, rel. 24
d = 1.917 Å, rel. 14
d = 1.293 Å, rel. 23
d = 1.278 Å, rel. 20
d = 1.271 Å, rel. 24

Atomic structure:
```
Al23V4
1.0
7.670 0.000 0.000
-3.835 6.642 0.000
0.000 0.000 17.074
Al V
46 8
Cartesian
-1.452 3.589 2.842
-1.452 3.589 5.695
0.000 1.661 4.268
0.000 1.661 10.527
0.000 1.661 15.083
-2.396 5.811 4.268
-2.396 5.811 10.527
-2.396 5.811 15.083
0.000 2.793 0.504
0.000 2.793 8.033
-1.416 5.246 0.504
-1.416 5.246 8.033
1.438 0.830 1.991
1.438 0.830 6.546
1.439 0.831 12.805
0.000 4.428 10.527
0.000 4.428 15.084
2.419 1.396 9.040
2.419 1.396 16.570
1.452 3.589 2.842
1.452 3.589 5.695
0.000 6.105 2.842
0.000 6.105 5.695
3.835 0.537 11.379
3.835 0.537 14.232
2.382 3.052 11.379
2.382 3.052 14.232
1.416 5.246 0.504
1.416 5.246 8.033
3.835 2.214 1.990
3.835 2.214 6.547
2.396 5.811 4.268
2.396 5.811 10.527
2.396 5.811 15.083
5.251 1.396 9.040
5.251 1.396 16.570
3.835 3.849 9.040
3.835 3.849 16.570
6.231 0.830 1.991
6.231 0.830 6.546
6.231 0.831 12.805
3.835 4.981 1.991
3.835 4.981 6.546
3.835 4.981 12.805
5.287 3.052 11.379
5.287 3.052 14.232
0.000 0.000 0.000
0.000 0.000 8.537
0.000 2.897 12.805
-1.326 5.194 12.805
2.509 1.448 4.268
1.326 5.194 12.805
5.161 1.448 4.268
3.835 3.745 4.268
```

***

This entry pairs a crystal structure of Al3V8 with its computed X-ray diffraction stick pattern. Radiation: a wavelength of 1.5418 Å. Structure: a PBE-relaxed structure.
Lines closer than 0.1° are merged.

Main lines, in order of rising 2θ (15° ≤ 2θ ≤ 90°):
d = 2.542 Å, rel. 22
d = 2.177 Å, rel. 100
d = 2.161 Å, rel. 49
d = 2.146 Å, rel. 34
d = 2.095 Å, rel. 61
d = 1.647 Å, rel. 10
d = 1.592 Å, rel. 11
d = 1.523 Å, rel. 21
d = 1.261 Å, rel. 11
d = 1.251 Å, rel. 15
d = 1.235 Å, rel. 10
d = 1.101 Å, rel. 19

Atomic structure:
```
Al3V8
1.0
-1.277 2.161 13.857
1.277 -2.161 13.857
1.277 2.161 -13.857
Al V
3 8
Cartesian
0.000 0.000 0.000
1.277 0.000 10.099
0.000 2.161 3.759
1.277 0.000 2.484
1.277 0.000 5.019
0.000 0.000 7.600
0.000 0.000 12.605
0.000 0.000 15.109
0.000 0.000 20.114
0.000 2.161 8.838
0.000 2.161 11.373
```